No. 1
Computed powder diffractogram of Zn2Ge2H for Cu Kα, 1.54184 Å, from a DFT-relaxed cell (GGA-PBE, Alexandria).
Neutral-atom scattering factors, no anomalous dispersion.

Atomic structure:
```
Zn2Ge2H
1.0
7.9412 0.0000 0.0000
0.0000 7.9412 0.0000
0.0000 0.0000 2.7223
Zn Ge H
4 4 2
direct
0.1555 0.3445 0.0000
0.3445 0.8445 0.0000
0.6555 0.1555 0.0000
0.8445 0.6555 0.0000
0.1440 0.6440 0.5000
0.3560 0.1440 0.5000
0.6440 0.8560 0.5000
0.8560 0.3560 0.5000
0.0000 0.0000 0.0000
0.5000 0.5000 0.0000
```

Principal peaks in the range 10 to 80 degrees two-theta, in order of rising 2θ:
5.615 Å, 15.78°, intensity 59; 3.971 Å, 22.39°, intensity 20; 2.511 Å, 35.76°, intensity 42; 2.161 Å, 41.81°, intensity 100; 1.985 Å, 45.70°, intensity 21; 1.872 Å, 48.64°, intensity 21; 1.712 Å, 53.52°, intensity 7; 1.572 Å, 58.72°, intensity 13; 1.404 Å, 66.62°, intensity 4; 1.361 Å, 69.00°, intensity 5; 1.323 Å, 71.26°, intensity 7; 1.297 Å, 72.96°, intensity 27

---

No. 2
Computed powder diffractogram of HfGe4 for Cu Kα, 1.54184 Å, from a DFT-relaxed cell (GGA-PBE, Alexandria).
Neutral-atom scattering factors, no anomalous dispersion.

Atomic structure:
```
HfGe4
1.0
5.1476 0.0000 0.0000
0.0000 5.1476 0.0000
0.0000 0.0000 5.1476
Hf Ge
1 4
direct
0.0000 0.0000 0.0000
0.0000 0.0000 0.5000
0.0000 0.5000 0.0000
0.5000 0.0000 0.0000
0.5000 0.5000 0.5000
```

Principal peaks in the range 10 to 80 degrees two-theta, in order of rising 2θ:
5.148 Å, 17.23°, intensity 76; 3.640 Å, 24.46°, intensity 67; 2.972 Å, 30.07°, intensity 14; 2.574 Å, 34.86°, intensity 100; 2.302 Å, 39.13°, intensity 39; 2.101 Å, 43.04°, intensity 30; 1.820 Å, 50.12°, intensity 71; 1.716 Å, 53.40°, intensity 20; 1.628 Å, 56.54°, intensity 14; 1.486 Å, 62.50°, intensity 24; 1.376 Å, 68.16°, intensity 16; 1.248 Å, 76.27°, intensity 11

---

No. 3
Computed powder diffractogram of Hf6Ge5 for Cu Kα, 1.54184 Å, from a DFT-relaxed cell (GGA-PBE, Alexandria).
Neutral-atom scattering factors, no anomalous dispersion.

Atomic structure:
```
Hf6Ge5
1.0
3.2846 -5.6600 0.0000
3.2846 5.6600 0.0000
-2.1888 0.0000 6.2385
Hf Ge
6 5
direct
0.0822 0.4151 0.7465
0.2479 0.2479 0.2424
0.4151 0.0822 0.7465
0.5849 0.9178 0.2535
0.7521 0.7521 0.7576
0.9178 0.5849 0.2535
0.1705 0.8295 0.0000
0.3349 0.6651 0.5000
0.5000 0.5000 0.0000
0.6651 0.3349 0.5000
0.8295 0.1705 0.0000
```

Principal peaks in the range 10 to 80 degrees two-theta, in order of rising 2θ:
3.119 Å, 28.62°, intensity 11; 3.099 Å, 28.80°, intensity 11; 3.089 Å, 28.91°, intensity 22; 2.684 Å, 33.39°, intensity 100; 1.904 Å, 47.77°, intensity 37; 1.894 Å, 48.04°, intensity 24; 1.887 Å, 48.24°, intensity 12; 1.619 Å, 56.89°, intensity 8; 1.560 Å, 59.25°, intensity 6; 1.544 Å, 59.90°, intensity 12; 1.341 Å, 70.20°, intensity 8; 1.204 Å, 79.63°, intensity 11

---

No. 4
Computed powder diffractogram of Ho2Hf3Ge4 for Cu Kα, 1.54184 Å, from a DFT-relaxed cell (GGA-PBE, Alexandria).
Neutral-atom scattering factors, no anomalous dispersion.

Atomic structure:
```
Ho2Hf3Ge4
1.0
7.3896 0.0000 0.0000
0.0000 7.3718 0.0000
-2.4510 0.0000 6.7638
Ho Hf Ge
4 6 8
direct
0.1878 0.1719 0.0625
0.1878 0.3281 0.5625
0.8122 0.6719 0.4375
0.8122 0.8281 0.9375
0.2517 0.6737 0.2473
0.2517 0.8263 0.7473
0.5000 0.0000 0.5000
0.5000 0.5000 0.0000
0.7483 0.1737 0.2527
0.7483 0.3263 0.7527
0.0842 0.5354 0.8519
0.0842 0.9646 0.3519
0.4876 0.1343 0.8619
0.4876 0.3657 0.3619
0.5124 0.6343 0.6381
0.5124 0.8657 0.1381
0.9158 0.0354 0.6481
0.9158 0.4646 0.1481
```

Principal peaks in the range 10 to 80 degrees two-theta, in order of rising 2θ:
3.202 Å, 27.87°, intensity 30; 2.766 Å, 32.37°, intensity 68; 2.588 Å, 34.66°, intensity 99; 2.561 Å, 35.04°, intensity 75; 2.535 Å, 35.40°, intensity 100; 2.528 Å, 35.51°, intensity 59; 2.316 Å, 38.88°, intensity 32; 2.311 Å, 38.98°, intensity 89; 2.280 Å, 39.52°, intensity 74; 1.738 Å, 52.66°, intensity 27; 1.547 Å, 59.78°, intensity 43; 1.531 Å, 60.47°, intensity 24

---

No. 5
Computed powder diffractogram of Hf8Ge2Ir3 for Cu Kα, 1.54184 Å, from a DFT-relaxed cell (GGA-PBE, Alexandria).
Neutral-atom scattering factors, no anomalous dispersion.

Atomic structure:
```
Hf8Ge2Ir3
1.0
7.5002 -3.2440 0.0000
7.5002 3.2440 0.0000
-0.5771 0.0000 5.5203
Hf Ge Ir
8 2 3
direct
0.0589 0.0589 0.2702
0.1134 0.6284 0.1656
0.3280 0.3280 0.6637
0.3716 0.8866 0.8344
0.6284 0.1134 0.1656
0.6720 0.6720 0.3363
0.8866 0.3716 0.8344
0.9411 0.9411 0.7298
0.2308 0.2308 0.1875
0.7692 0.7692 0.8125
0.3083 0.6917 0.5000
0.5000 0.5000 0.0000
0.6917 0.3083 0.5000
```

Principal peaks in the range 10 to 80 degrees two-theta, in order of rising 2θ:
7.460 Å, 11.86°, intensity 43; 2.665 Å, 33.62°, intensity 100; 2.530 Å, 35.49°, intensity 21; 2.505 Å, 35.84°, intensity 33; 2.465 Å, 36.45°, intensity 26; 2.357 Å, 38.19°, intensity 25; 2.296 Å, 39.23°, intensity 19; 2.183 Å, 41.36°, intensity 44; 1.984 Å, 45.73°, intensity 17; 1.842 Å, 49.48°, intensity 15; 1.617 Å, 56.95°, intensity 18; 1.601 Å, 57.59°, intensity 19

---

No. 6
Computed powder diffractogram of HfNiGeIr for Cu Kα, 1.54184 Å, from a DFT-relaxed cell (GGA-PBE, Alexandria).
Neutral-atom scattering factors, no anomalous dispersion.

Atomic structure:
```
HfNiGeIr
1.0
0.0000 3.1306 3.1306
3.1306 0.0000 3.1306
3.1306 3.1306 0.0000
Hf Ni Ge Ir
1 1 1 1
direct
0.0000 0.0000 0.0000
0.7500 0.7500 0.7500
0.5000 0.5000 0.5000
0.2500 0.2500 0.2500
```

Principal peaks in the range 10 to 80 degrees two-theta, in order of rising 2θ:
3.615 Å, 24.63°, intensity 24; 2.214 Å, 40.76°, intensity 100; 1.888 Å, 48.20°, intensity 13; 1.565 Å, 59.01°, intensity 17; 1.436 Å, 64.92°, intensity 5; 1.278 Å, 74.20°, intensity 34; 1.205 Å, 79.55°, intensity 4

---

No. 7
Computed powder diffractogram of K2HfGe2O6 for Cu Kα, 1.54184 Å, from a DFT-relaxed cell (GGA-PBE, Alexandria).
Neutral-atom scattering factors, no anomalous dispersion.

Atomic structure:
```
K2HfGe2O6
1.0
4.9873 -2.9206 0.0000
4.9873 2.9206 0.0000
-3.5567 0.0000 5.8596
K Hf Ge O
2 1 2 6
direct
0.2110 0.2110 0.1852
0.7890 0.7890 0.8148
0.0000 0.0000 0.5000
0.4488 0.4488 0.7948
0.5512 0.5512 0.2052
0.2259 0.7256 0.2644
0.2407 0.2407 0.6372
0.2744 0.7741 0.7356
0.7256 0.2259 0.2644
0.7593 0.7593 0.3628
0.7741 0.2744 0.7356
```

Principal peaks in the range 10 to 80 degrees two-theta, in order of rising 2θ:
5.860 Å, 15.12°, intensity 34; 4.410 Å, 20.14°, intensity 91; 4.263 Å, 20.84°, intensity 64; 3.280 Å, 27.19°, intensity 46; 2.921 Å, 30.61°, intensity 56; 2.911 Å, 30.72°, intensity 93; 2.888 Å, 30.97°, intensity 100; 2.821 Å, 31.72°, intensity 22; 2.205 Å, 40.93°, intensity 24; 2.029 Å, 44.66°, intensity 24; 1.680 Å, 54.64°, intensity 24; 1.593 Å, 57.90°, intensity 22

---

No. 8
Computed powder diffractogram of HfMn6Ge6 for Cu Kα, 1.54184 Å, from a DFT-relaxed cell (GGA-PBE, Alexandria).
Neutral-atom scattering factors, no anomalous dispersion.

Atomic structure:
```
HfMn6Ge6
1.0
-2.5615 4.0408 4.4332
2.5615 -4.0408 4.4332
2.5615 4.0408 -4.4332
Hf Mn Ge
1 6 6
direct
0.0000 0.0000 0.0000
0.0000 0.0000 0.5000
0.0000 0.5000 0.0000
0.2523 0.5000 0.7523
0.5000 0.0000 0.0000
0.5000 0.5000 0.5000
0.7477 0.5000 0.2477
0.1636 0.6636 0.5000
0.3322 0.3322 0.0000
0.3407 0.0000 0.3407
0.6593 0.0000 0.6593
0.6678 0.6678 0.0000
0.8364 0.3364 0.5000
```

Principal peaks in the range 10 to 80 degrees two-theta, in order of rising 2θ:
2.578 Å, 34.81°, intensity 22; 2.560 Å, 35.05°, intensity 79; 2.384 Å, 37.73°, intensity 17; 2.217 Å, 40.69°, intensity 51; 2.163 Å, 41.76°, intensity 100; 2.100 Å, 43.08°, intensity 22; 2.020 Å, 44.86°, intensity 25; 1.944 Å, 46.73°, intensity 35; 1.817 Å, 50.21°, intensity 16; 1.478 Å, 62.86°, intensity 15; 1.388 Å, 67.46°, intensity 23; 1.280 Å, 74.05°, intensity 29

---

No. 9
Computed powder diffractogram of Hf3Mn2Ge3 for Cu Kα, 1.54184 Å, from a DFT-relaxed cell (GGA-PBE, Alexandria).
Neutral-atom scattering factors, no anomalous dispersion.

Atomic structure:
```
Hf3Mn2Ge3
1.0
7.6546 0.0000 0.0000
-3.8273 6.6290 0.0000
0.0000 0.0000 5.2395
Hf Mn Ge
6 4 6
direct
0.0000 0.2485 0.2500
0.0000 0.7515 0.7500
0.2485 0.0000 0.2500
0.2485 0.2485 0.7500
0.7515 0.0000 0.7500
0.7515 0.7515 0.2500
0.3333 0.6667 0.0000
0.3333 0.6667 0.5000
0.6667 0.3333 0.0000
0.6667 0.3333 0.5000
0.0000 0.4023 0.7500
0.0000 0.5977 0.2500
0.4023 0.0000 0.7500
0.4023 0.4023 0.2500
0.5977 0.0000 0.2500
0.5977 0.5977 0.7500
```

Principal peaks in the range 10 to 80 degrees two-theta, in order of rising 2θ:
3.827 Å, 23.24°, intensity 12; 3.091 Å, 28.89°, intensity 20; 2.620 Å, 34.23°, intensity 25; 2.506 Å, 35.84°, intensity 20; 2.436 Å, 36.89°, intensity 10; 2.260 Å, 39.88°, intensity 100; 2.210 Å, 40.84°, intensity 17; 2.162 Å, 41.78°, intensity 31; 1.657 Å, 55.44°, intensity 9; 1.461 Å, 63.72°, intensity 15; 1.433 Å, 65.10°, intensity 24; 1.401 Å, 66.79°, intensity 16

---

No. 10
Computed powder diffractogram of Hf2Ge4Mo for Cu Kα, 1.54184 Å, from a DFT-relaxed cell (GGA-PBE, Alexandria).
Neutral-atom scattering factors, no anomalous dispersion.

Atomic structure:
```
Hf2Ge4Mo
1.0
-2.4150 2.4150 6.6140
2.4150 -2.4150 6.6140
2.4150 2.4150 -6.6140
Hf Ge Mo
2 4 1
direct
0.1085 0.1085 0.0000
0.8915 0.8915 0.0000
0.0000 0.5000 0.5000
0.3070 0.3070 0.0000
0.5000 0.0000 0.5000
0.6930 0.6930 0.0000
0.5000 0.5000 0.0000
```

Principal peaks in the range 10 to 80 degrees two-theta, in order of rising 2θ:
6.614 Å, 13.39°, intensity 43; 4.537 Å, 19.57°, intensity 23; 3.415 Å, 26.09°, intensity 84; 2.415 Å, 37.23°, intensity 93; 2.376 Å, 37.87°, intensity 39; 2.320 Å, 38.81°, intensity 100; 2.269 Å, 39.73°, intensity 12; 1.708 Å, 53.67°, intensity 32; 1.673 Å, 54.87°, intensity 73; 1.527 Å, 60.63°, intensity 16; 1.387 Å, 67.55°, intensity 15; 1.375 Å, 68.18°, intensity 19

---

No. 11
Computed powder diffractogram of Hf8GeMo5 for Cu Kα, 1.54184 Å, from a DFT-relaxed cell (GGA-PBE, Alexandria).
Neutral-atom scattering factors, no anomalous dispersion.

Atomic structure:
```
Hf8GeMo5
1.0
8.7620 0.0000 0.0000
0.0000 4.3240 7.2905
0.0000 -4.3240 7.2905
Hf Ge Mo
16 2 10
direct
0.0000 0.0567 0.0567
0.0000 0.0680 0.6672
0.0000 0.6672 0.0680
0.2046 0.4051 0.9934
0.2046 0.9934 0.4051
0.2363 0.3879 0.3879
0.2963 0.8012 0.8012
0.2967 0.2059 0.7941
0.2967 0.7941 0.2059
0.5000 0.1540 0.1540
0.7033 0.2059 0.7941
0.7033 0.7941 0.2059
0.7037 0.8012 0.8012
0.7637 0.3879 0.3879
0.7954 0.4051 0.9934
0.7954 0.9934 0.4051
0.0000 0.2666 0.2666
0.5000 0.9381 0.9381
0.0000 0.3777 0.7032
0.0000 0.7032 0.3777
0.0000 0.7075 0.7075
0.2523 0.5976 0.5976
0.5000 0.1168 0.5507
0.5000 0.4910 0.4910
0.5000 0.4944 0.8254
0.5000 0.5507 0.1168
0.5000 0.8254 0.4944
0.7477 0.5976 0.5976
```

Principal peaks in the range 10 to 80 degrees two-theta, in order of rising 2θ:
2.834 Å, 31.57°, intensity 84; 2.714 Å, 33.00°, intensity 47; 2.386 Å, 37.71°, intensity 70; 2.376 Å, 37.87°, intensity 80; 2.352 Å, 38.28°, intensity 100; 2.339 Å, 38.49°, intensity 98; 2.297 Å, 39.22°, intensity 53; 2.279 Å, 39.54°, intensity 30; 2.190 Å, 41.21°, intensity 47; 2.119 Å, 42.68°, intensity 28; 1.431 Å, 65.19°, intensity 39; 1.409 Å, 66.36°, intensity 37

---

No. 12
Computed powder diffractogram of HfGeMo for Cu Kα, 1.54184 Å, from a DFT-relaxed cell (GGA-PBE, Alexandria).
Neutral-atom scattering factors, no anomalous dispersion.

Atomic structure:
```
HfGeMo
1.0
7.0263 0.0000 0.0000
0.0000 3.5391 0.0000
0.0000 0.0000 8.3571
Hf Ge Mo
4 4 4
direct
0.0496 0.2500 0.1663
0.4504 0.7500 0.6663
0.5496 0.2500 0.3337
0.9504 0.7500 0.8337
0.2488 0.7500 0.3616
0.2512 0.2500 0.8616
0.7488 0.7500 0.1384
0.7512 0.2500 0.6384
0.1313 0.2500 0.5624
0.3687 0.7500 0.0624
0.6313 0.2500 0.9376
0.8687 0.7500 0.4376
```

Principal peaks in the range 10 to 80 degrees two-theta, in order of rising 2θ:
2.590 Å, 34.64°, intensity 54; 2.521 Å, 35.61°, intensity 100; 2.493 Å, 36.02°, intensity 52; 2.389 Å, 37.65°, intensity 78; 2.255 Å, 39.98°, intensity 15; 2.090 Å, 43.30°, intensity 43; 2.043 Å, 44.34°, intensity 42; 1.770 Å, 51.65°, intensity 29; 1.510 Å, 61.39°, intensity 17; 1.461 Å, 63.69°, intensity 18; 1.388 Å, 67.46°, intensity 15; 1.338 Å, 70.39°, intensity 21